# 1
Calculated powder XRD pattern of Li12Cr5O16 for Cu Ka, from a cell relaxed with PBE+U.

Crystal structure
```
data_Li12Cr5O16
_chemical_formula_sum 'Li12 Cr5 O16'
_cell_length_a 5.834
_cell_length_b 5.839
_cell_length_c 9.658
_cell_angle_alpha 89.87
_cell_angle_beta 89.97
_cell_angle_gamma 60.18
_symmetry_space_group_name_H-M 'P 1'
_symmetry_Int_Tables_number 1
loop_
_symmetry_equiv_pos_as_xyz
'x,y,z'
loop_
_atom_site_label
_atom_site_type_symbol
_atom_site_fract_x
_atom_site_fract_y
_atom_site_fract_z
_atom_site_occupancy
Li1 Li 0.000 0.000 0.000 1
Li2 Li 0.000 0.463 0.003 1
Li3 Li 0.049 0.418 0.275 1
Li4 Li 0.054 0.963 0.280 1
Li5 Li 0.187 0.623 0.502 1
Li6 Li 0.195 0.109 0.492 1
Li7 Li 0.211 0.634 0.747 1
Li8 Li 0.495 0.969 0.281 1
Li9 Li 0.521 0.478 0.986 1
Li10 Li 0.684 0.133 0.774 1
Li11 Li 0.688 0.660 0.778 1
Li12 Li 0.849 0.801 0.162 1
Cr1 Cr 0.141 0.163 0.750 1
Cr2 Cr 0.471 0.014 0.000 1
Cr3 Cr 0.504 0.474 0.251 1
Cr4 Cr 0.683 0.130 0.512 1
Cr5 Cr 0.684 0.626 0.512 1
O1 O 0.001 0.979 0.635 1
O2 O 0.015 0.456 0.636 1
O3 O 0.198 0.623 0.156 1
O4 O 0.218 0.112 0.122 1
O5 O 0.333 0.295 0.880 1
O6 O 0.335 0.848 0.877 1
O7 O 0.374 0.772 0.385 1
O8 O 0.384 0.290 0.385 1
O9 O 0.511 0.965 0.629 1
O10 O 0.535 0.441 0.619 1
O11 O 0.651 0.154 0.127 1
O12 O 0.676 0.616 0.145 1
O13 O 0.793 0.830 0.928 1
O14 O 0.834 0.300 0.386 1
O15 O 0.836 0.812 0.401 1
O16 O 0.861 0.302 0.869 1
```

Peak list (12 most intense, 2θ from 10° to 90°, in order of falling intensity)
2θ = 19.81°, I 100, hkl 1 0 -1
2θ = 25.50°, I 50, hkl 1 0 -2
2θ = 17.52°, I 38, hkl 1 0 0
2θ = 45.56°, I 32, hkl 0 2 3
2θ = 45.66°, I 28, hkl 2 2 -3
2θ = 40.21°, I 25, hkl 2 0 2
2θ = 32.98°, I 24, hkl 1 0 3
2θ = 63.78°, I 20, hkl 2 4 0
2θ = 60.32°, I 17, hkl 2 2 5
2θ = 52.42°, I 13, hkl 0 2 -4
2θ = 35.90°, I 13, hkl 1 -1 2
2θ = 35.97°, I 12, hkl 2 1 2

---

# 2
Calculated powder XRD pattern of CoAgO3 for Cu Ka, from a cell relaxed with PBE+U.

Crystal structure
```
data_CoAgO3
_chemical_formula_sum 'Co8 Ag8 O24'
_cell_length_a 11.045
_cell_length_b 8.499
_cell_length_c 4.999
_cell_angle_alpha 90.00
_cell_angle_beta 94.17
_cell_angle_gamma 90.00
_symmetry_space_group_name_H-M 'C 1 2/c 1'
_symmetry_Int_Tables_number 15
loop_
_symmetry_equiv_pos_as_xyz
'x,y,z'
'-x,-y,-z'
'-x,y,-z+1/2'
'x,-y,z+1/2'
'x+1/2,y+1/2,z'
'-x+1/2,-y+1/2,-z'
'-x+1/2,y+1/2,-z+1/2'
'x+1/2,-y+1/2,z+1/2'
loop_
_atom_site_label
_atom_site_type_symbol
_atom_site_fract_x
_atom_site_fract_y
_atom_site_fract_z
_atom_site_occupancy
Co1 Co 0.000 0.085 0.250 1
Co2 Co 0.000 0.272 0.750 1
Ag1 Ag 0.229 0.384 0.261 1
O1 O 0.050 0.452 0.531 1
O2 O 0.087 0.084 0.591 1
O3 O 0.097 0.222 0.083 1
```

Peak list (12 most intense, 2θ from 10° to 90°, in order of falling intensity)
2θ = 31.41°, I 100, hkl 2 2 -1
2θ = 32.77°, I 92, hkl 2 2 1
2θ = 32.51°, I 46, hkl 4 0 0
2θ = 27.58°, I 44, hkl 0 2 1
2θ = 36.03°, I 35, hkl 0 0 2
2θ = 45.77°, I 25, hkl 2 4 0
2θ = 51.18°, I 23, hkl 4 0 2
2θ = 54.91°, I 22, hkl 5 3 -1
2θ = 37.12°, I 20, hkl 1 3 -1
2θ = 26.45°, I 17, hkl 3 1 0
2θ = 31.02°, I 15, hkl 3 1 -1
2θ = 63.52°, I 14, hkl 2 2 3

---

# 3
Calculated powder XRD pattern of CaEuNiBiO6 for Cu Ka, from a cell relaxed with PBE+U.

Crystal structure
```
data_CaEuNiBiO6
_chemical_formula_sum 'Ca4 Eu4 Ni4 Bi4 O24'
_cell_length_a 8.102
_cell_length_b 8.102
_cell_length_c 8.102
_cell_angle_alpha 90.00
_cell_angle_beta 90.00
_cell_angle_gamma 90.00
_symmetry_space_group_name_H-M 'F -4 3 m'
_symmetry_Int_Tables_number 216
_symmetry_space_group_name_Hall 'F -4 2 3'
loop_
_atom_site_label
_atom_site_type_symbol
_atom_site_fract_x
_atom_site_fract_y
_atom_site_fract_z
_atom_site_occupancy
Ca1 Ca 0.000 0.000 0.000 1
Eu1 Eu 0.000 0.000 0.500 1
Ni1 Ni 0.250 0.250 0.250 1
Bi1 Bi 0.250 0.250 0.750 1
O1 O 0.006 0.250 0.250 1
```

Peak list (12 most intense, 2θ from 10° to 90°, in order of falling intensity)
2θ = 31.23°, I 100, hkl 2 2 0
2θ = 55.57°, I 40, hkl 4 2 2
2θ = 18.97°, I 35, hkl 1 1 1
2θ = 44.74°, I 31, hkl 4 0 0
2θ = 36.79°, I 23, hkl 3 1 1
2θ = 65.13°, I 19, hkl 4 4 0
2θ = 74.00°, I 17, hkl 6 2 0
2θ = 49.01°, I 11, hkl 3 3 1
2θ = 21.94°, I 8, hkl 2 0 0
2θ = 68.52°, I 8, hkl 5 3 1
2θ = 59.27°, I 8, hkl 3 3 3
2θ = 82.49°, I 6, hkl 4 4 4

---

# 4
Calculated powder XRD pattern of MgMn6O7F5 for Cu Ka, from a cell relaxed with PBE+U.

Crystal structure
```
data_MgMn6O7F5
_chemical_formula_sum 'Mg1 Mn6 O7 F5'
_cell_length_a 5.326
_cell_length_b 5.735
_cell_length_c 7.791
_cell_angle_alpha 83.21
_cell_angle_beta 83.00
_cell_angle_gamma 82.30
_symmetry_space_group_name_H-M 'P 1'
_symmetry_Int_Tables_number 1
loop_
_symmetry_equiv_pos_as_xyz
'x,y,z'
loop_
_atom_site_label
_atom_site_type_symbol
_atom_site_fract_x
_atom_site_fract_y
_atom_site_fract_z
_atom_site_occupancy
Mg1 Mg 0.000 0.000 0.000 1
Mn1 Mn 0.041 0.616 0.789 1
Mn2 Mn 0.055 0.000 0.457 1
Mn3 Mn 0.072 0.406 0.171 1
Mn4 Mn 0.499 0.771 0.125 1
Mn5 Mn 0.555 0.149 0.772 1
Mn6 Mn 0.565 0.505 0.467 1
O1 O 0.204 0.675 0.029 1
O2 O 0.344 0.785 0.363 1
O3 O 0.369 0.440 0.687 1
O4 O 0.721 0.861 0.909 1
O5 O 0.767 0.590 0.246 1
O6 O 0.776 0.215 0.563 1
O7 O 0.944 0.112 0.237 1
F1 F 0.197 0.961 0.701 1
F2 F 0.322 0.300 0.345 1
F3 F 0.327 0.156 0.001 1
F4 F 0.857 0.709 0.569 1
F5 F 0.858 0.326 0.914 1
```

Peak list (12 most intense, 2θ from 10° to 90°, in order of falling intensity)
2θ = 22.89°, I 100, hkl 1 1 1
2θ = 27.24°, I 79, hkl -1 1 1
2θ = 34.41°, I 33, hkl 1 1 -2
2θ = 46.78°, I 32, hkl 2 0 3
2θ = 33.81°, I 31, hkl 1 -1 2
2θ = 34.96°, I 30, hkl 0 2 -1
2θ = 34.16°, I 28, hkl 2 0 0
2θ = 52.53°, I 15, hkl 2 0 -3
2θ = 61.02°, I 15, hkl 0 2 -4
2θ = 60.56°, I 15, hkl 3 -1 2
2θ = 56.18°, I 13, hkl -2 2 2
2θ = 53.63°, I 12, hkl 1 -3 0

---

# 5
Calculated powder XRD pattern of Li9Mn7O16 for Cu Ka, from a cell relaxed with PBE+U.

Crystal structure
```
data_Li9Mn7O16
_chemical_formula_sum 'Li9 Mn7 O16'
_cell_length_a 3.013
_cell_length_b 10.199
_cell_length_c 10.790
_cell_angle_alpha 114.93
_cell_angle_beta 93.56
_cell_angle_gamma 93.65
_symmetry_space_group_name_H-M 'P -1'
_symmetry_Int_Tables_number 2
loop_
_symmetry_equiv_pos_as_xyz
'x,y,z'
'-x,-y,-z'
loop_
_atom_site_label
_atom_site_type_symbol
_atom_site_fract_x
_atom_site_fract_y
_atom_site_fract_z
_atom_site_occupancy
Li1 Li 0.000 0.000 0.000 1
Li2 Li 0.107 0.940 0.241 1
Li3 Li 0.120 0.437 0.248 1
Li4 Li 0.365 0.311 0.744 1
Li5 Li 0.368 0.827 0.758 1
Mn1 Mn 0.000 0.500 0.000 1
Mn2 Mn 0.249 0.375 0.499 1
Mn3 Mn 0.250 0.876 0.502 1
Mn4 Mn 0.496 0.759 0.001 1
O1 O 0.021 0.717 0.105 1
O2 O 0.028 0.224 0.107 1
O3 O 0.156 0.165 0.381 1
O4 O 0.158 0.666 0.382 1
O5 O 0.343 0.087 0.616 1
O6 O 0.344 0.585 0.617 1
O7 O 0.414 0.538 0.887 1
O8 O 0.435 0.049 0.882 1
```

Peak list (12 most intense, 2θ from 10° to 90°, in order of falling intensity)
2θ = 18.22°, I 100, hkl 0 0 2
2θ = 40.59°, I 36, hkl 1 -2 3
2θ = 44.26°, I 27, hkl 1 2 -4
2θ = 44.14°, I 27, hkl 0 4 1
2θ = 33.86°, I 19, hkl 1 -2 1
2θ = 36.07°, I 12, hkl 0 4 -1
2θ = 36.37°, I 12, hkl 1 2 -2
2θ = 58.22°, I 9, hkl 1 2 -6
2θ = 61.79°, I 8, hkl 2 0 -1
2θ = 61.10°, I 8, hkl 1 -6 2
2θ = 61.42°, I 8, hkl 0 4 -7
2θ = 61.92°, I 8, hkl 1 2 4

---

# 6
Calculated powder XRD pattern of Li2FeNi3O8 for Cu Ka, from a cell relaxed with PBE+U.

Crystal structure
```
data_Li2FeNi3O8
_chemical_formula_sum 'Li8 Fe4 Ni12 O32'
_cell_length_a 10.235
_cell_length_b 5.722
_cell_length_c 10.077
_cell_angle_alpha 90.00
_cell_angle_beta 108.16
_cell_angle_gamma 90.00
_symmetry_space_group_name_H-M 'C 1 2/m 1'
_symmetry_Int_Tables_number 12
loop_
_symmetry_equiv_pos_as_xyz
'x,y,z'
'-x,-y,-z'
'-x,y,-z'
'x,-y,z'
'x+1/2,y+1/2,z'
'-x+1/2,-y+1/2,-z'
'-x+1/2,y+1/2,-z'
'x+1/2,-y+1/2,z'
loop_
_atom_site_label
_atom_site_type_symbol
_atom_site_fract_x
_atom_site_fract_y
_atom_site_fract_z
_atom_site_occupancy
Li1 Li 0.248 0.000 0.247 1
Li2 Li 0.249 0.000 0.748 1
Fe1 Fe 0.000 0.000 0.000 1
Fe2 Fe 0.000 0.500 0.500 1
Ni1 Ni 0.000 0.000 0.500 1
Ni2 Ni 0.000 0.500 0.000 1
Ni3 Ni 0.002 0.249 0.251 1
O1 O 0.101 0.000 0.855 1
O2 O 0.103 0.240 0.625 1
O3 O 0.103 0.500 0.852 1
O4 O 0.104 0.500 0.356 1
O5 O 0.106 0.255 0.127 1
O6 O 0.107 0.000 0.352 1
```

Peak list (12 most intense, 2θ from 10° to 90°, in order of falling intensity)
2θ = 18.24°, I 100, hkl 2 0 0
2θ = 43.88°, I 35, hkl 2 2 2
2θ = 36.59°, I 22, hkl 0 2 2
2θ = 44.05°, I 18, hkl 4 0 -4
2θ = 36.30°, I 13, hkl 2 0 -4
2θ = 57.44°, I 10, hkl 4 2 2
2θ = 64.32°, I 10, hkl 2 2 -6
2θ = 63.51°, I 9, hkl 6 2 -2
2θ = 48.28°, I 7, hkl 4 2 -2
2θ = 38.33°, I 7, hkl 2 2 -2
2θ = 67.16°, I 5, hkl 0 2 6
2θ = 65.22°, I 5, hkl 0 4 0